Structure and calculated powder XRD pattern of Pr4Ga12Tc (a structure optimized by DFT (GGA-PBE); copper Kα).
Lines closer than 0.1° are merged.

Largest 12 diffraction maxima, low angle first, 10° ≤ 2θ ≤ 90°:
2theta	intensity
28.53	26
31.98	6
35.13	100
38.05	9
40.79	65
48.24	7
50.53	8
59.05	39
66.87	8
70.60	31
74.25	12
81.38	7

abc: 7.6634 7.6634 7.6634
angles: 109.47 109.47 109.47
Sites, in units of the cell vectors:
Pr 0.0000 0.0000 0.5000
Pr 0.0000 0.5000 0.0000
Pr 0.5000 0.0000 0.0000
Pr 0.5000 0.5000 0.5000
Ga 0.0000 0.2891 0.2891
Ga 0.0000 0.7109 0.7109
Ga 0.2500 0.5000 0.7500
Ga 0.2500 0.7500 0.5000
Ga 0.2891 0.0000 0.2891
Ga 0.2891 0.2891 0.0000
Ga 0.5000 0.2500 0.7500
Ga 0.5000 0.7500 0.2500
Ga 0.7109 0.0000 0.7109
Ga 0.7109 0.7109 0.0000
Ga 0.7500 0.2500 0.5000
Ga 0.7500 0.5000 0.2500
Tc 0.0000 0.0000 0.0000

Structure and calculated powder XRD pattern of Ho3SnPt (a structure optimized by DFT (GGA-PBE); copper Kα).
Lines closer than 0.1° are merged.

Largest 12 diffraction maxima, low angle first, 10° ≤ 2θ ≤ 90°:
2theta	intensity
10.66	39
28.08	24
29.88	36
30.46	27
32.50	40
33.25	19
33.58	100
34.55	31
37.91	23
39.18	33
46.07	16
61.89	18

abc: 5.2447 6.5897 8.5602
angles: 95.27 100.17 111.52
Sites, in units of the cell vectors:
Ho 0.0230 0.1186 0.3065
Ho 0.2778 0.7903 0.0877
Ho 0.3178 0.4759 0.7367
Ho 0.6822 0.5241 0.2633
Ho 0.7222 0.2097 0.9123
Ho 0.9770 0.8814 0.6935
Sn 0.3444 0.7471 0.4511
Sn 0.6556 0.2529 0.5489
Pt 0.2515 0.2056 0.0081
Pt 0.7485 0.7944 0.9919

Structure and calculated powder XRD pattern of Tm2Ni9Sn (a structure optimized by DFT (GGA-PBE); copper Kα).
Lines closer than 0.1° are merged.

Largest 12 diffraction maxima, low angle first, 10° ≤ 2θ ≤ 90°:
2theta	intensity
33.41	53
36.44	49
36.78	61
42.91	48
43.26	100
45.39	19
46.42	24
46.83	25
64.11	17
69.71	19
70.72	22
78.24	26

abc: 8.5672 8.5672 8.5672
angles: 33.14 33.14 33.14
Sites, in units of the cell vectors:
Tm 0.1371 0.1371 0.1371
Tm 0.8629 0.8629 0.8629
Ni 0.0815 0.5846 0.5846
Ni 0.3333 0.3333 0.3333
Ni 0.4154 0.4154 0.9185
Ni 0.4154 0.9185 0.4154
Ni 0.5000 0.5000 0.5000
Ni 0.5846 0.0815 0.5846
Ni 0.5846 0.5846 0.0815
Ni 0.6667 0.6667 0.6667
Ni 0.9185 0.4154 0.4154
Sn 0.0000 0.0000 0.0000